PaO2: computed X-ray diffraction stick pattern (Cu Kα), based on the GGA-PBE geometry in the Materials Project.
Neutral-atom scattering factors, no anomalous dispersion.

Principal peaks in the range 10° ≤ 2θ ≤ 90°, most intense first:
d (Å)	Position (°2θ)	intensity	(hkl)
3.151	28.3	100	1 1 1
1.930	47.1	49	2 2 0
1.646	55.9	47	3 1 1
2.729	32.8	37	2 0 0
1.252	76.0	19	3 3 1
1.114	87.6	17	4 2 2
1.220	78.4	15	4 2 0
1.575	58.6	11	2 2 2
1.364	68.8	8	4 0 0

Cell lengths 5.458, 5.458, 5.458 Å; angles 90.00, 90.00, 90.00 degrees
Space group Fm-3m (No. 225)
Asymmetric unit:
Pa1 0.000 0.000 0.000 (multiplicity 4)
O1 0.250 0.250 0.250 (multiplicity 8)

CsMg14Sb: computed X-ray diffraction stick pattern (Cu Kα), based on the GGA-PBE geometry in the Materials Project.
Neutral-atom scattering factors, no anomalous dispersion.

Principal peaks in the range 10° ≤ 2θ ≤ 90°, most intense first:
d (Å)	Position (°2θ)	intensity	(hkl)
2.549	35.2	100	2 2 2
2.523	35.6	43	2 0 4
5.046	17.6	36	1 0 2
2.647	33.9	34	4 0 0
2.908	30.7	28	0 2 2
5.740	15.4	23	0 0 2
3.891	22.9	22	2 0 2
5.293	16.7	22	2 0 0
2.804	31.9	19	1 2 2
1.664	55.2	18	0 2 6

Cell lengths 10.586, 6.746, 11.480 Å; angles 90.00, 90.00, 90.00 degrees
Space group Amm2 (No. 38)
Asymmetric unit:
Cs1 0.000 0.000 0.000 (multiplicity 2)
Mg1 0.000 0.240 0.254 (multiplicity 4)
Mg2 0.243 0.000 0.670 (multiplicity 4)
Mg3 0.267 0.239 0.417 (multiplicity 8)
Mg4 0.269 0.000 0.176 (multiplicity 4)
Mg5 0.500 0.000 0.001 (multiplicity 2)
Mg6 0.500 0.000 0.505 (multiplicity 2)
Mg7 0.500 0.244 0.750 (multiplicity 4)
Sb1 0.000 0.000 0.490 (multiplicity 2)

HfSbRu: computed X-ray diffraction stick pattern (Cu Kα), based on the GGA-PBE geometry in the Materials Project.
Neutral-atom scattering factors, no anomalous dispersion.

Principal peaks in the range 10° ≤ 2θ ≤ 90°, most intense first:
d (Å)	Position (°2θ)	intensity	(hkl)
2.234	40.4	100	2 2 0
1.290	73.4	34	4 2 2
3.159	28.2	30	2 0 0
3.648	24.4	22	1 1 1
1.580	58.4	17	4 0 0
1.117	87.3	11	4 4 0
1.413	66.1	11	4 2 0
1.905	47.7	11	3 1 1
1.824	50.0	9	2 2 2
1.450	64.3	4	3 3 1

Cell lengths 6.318, 6.318, 6.318 Å; angles 90.00, 90.00, 90.00 degrees
Space group F-43m (No. 216)
Asymmetric unit:
Hf1 0.000 0.000 0.000 (multiplicity 4)
Sb1 0.000 0.000 0.500 (multiplicity 4)
Ru1 0.250 0.250 0.750 (multiplicity 4)

Nd2Ge3Ir3: computed X-ray diffraction stick pattern (Cu Kα), based on the GGA-PBE geometry in the Materials Project.
Neutral-atom scattering factors, no anomalous dispersion.

Principal peaks in the range 10° ≤ 2θ ≤ 90°, most intense first:
d (Å)	Position (°2θ)	intensity	(hkl)
2.851	31.4	100	1 0 0
1.941	46.8	57	1 0 8
2.649	33.8	44	0 0 8
2.016	45.0	37	1 1 0
7.069	12.5	31	0 0 3
1.605	57.4	28	1 1 8
1.149	84.3	19	2 1 8
1.275	74.4	17	2 1 0
1.255	75.8	15	2 0 8
1.425	65.5	12	2 0 0

Cell lengths 2.851, 2.851, 21.206 Å; angles 90.00, 90.00, 90.00 degrees
Space group P4/mmm (No. 123)
Asymmetric unit:
Nd1 0.000 0.000 0.240 (multiplicity 2)
Ge1 0.000 0.000 0.000 (multiplicity 1)
Ge2 0.000 0.000 0.388 (multiplicity 2)
Ir1 0.000 0.000 0.113 (multiplicity 2)
Ir2 0.000 0.000 0.500 (multiplicity 1)

LaGaO3: computed X-ray diffraction stick pattern (Cu Kα), based on the GGA-PBE geometry in the Materials Project.
Neutral-atom scattering factors, no anomalous dispersion.

Principal peaks in the range 10° ≤ 2θ ≤ 90°, most intense first:
d (Å)	Position (°2θ)	intensity	(hkl)
2.779	32.2	100	1 2 1
1.602	57.5	24	2 4 0
1.969	46.1	24	2 0 2
2.797	32.0	18	0 0 2
1.612	57.2	18	1 2 3
1.390	67.4	13	2 4 2
1.963	46.3	11	0 4 0
1.242	76.7	10	1 6 1
3.934	22.6	9	0 2 0
1.607	57.4	8	0 4 2

Cell lengths 5.546, 7.851, 5.594 Å; angles 90.00, 90.00, 90.00 degrees
Space group Pnma (No. 62)
Asymmetric unit:
La1 0.005 0.250 0.008 (multiplicity 4)
Ga1 0.000 0.000 0.500 (multiplicity 4)
O1 0.001 0.750 0.419 (multiplicity 4)
O2 0.244 0.544 0.754 (multiplicity 8)

MnFeGe: computed X-ray diffraction stick pattern (Cu Kα), based on the GGA-PBE geometry in the Materials Project.
Neutral-atom scattering factors, no anomalous dispersion.

Principal peaks in the range 10° ≤ 2θ ≤ 90°, most intense first:
d (Å)	Position (°2θ)	intensity	(hkl)
2.050	44.2	100	1 1 0
2.057	44.0	84	1 0 2
1.452	64.1	25	2 0 2
1.185	81.2	25	2 1 2
1.591	58.0	15	1 1 2
1.184	81.3	15	3 0 0
2.523	35.6	11	0 0 2
1.262	75.3	6	0 0 4
2.904	30.8	3	1 0 1
3.551	25.1	1	1 0 0

Cell lengths 4.1008, 4.1008, 5.0469 Å; angles 90.00, 90.00, 120.00 degrees
Space group P6_3/mmc (No. 194)
Asymmetric unit:
Mn1 0.0000 0.0000 0.0000 (multiplicity 2)
Fe1 0.3333 0.6667 0.2500 (multiplicity 2)
Ge1 0.3333 0.6667 0.7500 (multiplicity 2)

ZrCr2: computed X-ray diffraction stick pattern (Cu Kα), based on the GGA-PBE geometry in the Materials Project.
Neutral-atom scattering factors, no anomalous dispersion.

Principal peaks in the range 10° ≤ 2θ ≤ 90°, most intense first:
d (Å)	Position (°2θ)	intensity	(hkl)
2.160	41.8	100	1 1 4
2.327	38.7	62	1 0 6
2.124	42.6	49	2 0 2
2.538	35.4	49	1 1 0
1.421	65.7	24	2 1 6
1.269	74.8	22	2 2 0
1.381	67.9	21	3 0 4
1.317	71.6	20	2 0 10
2.179	41.4	19	2 0 1
2.073	43.7	16	1 0 7

Cell lengths 5.0768, 5.0768, 16.4535 Å; angles 90.00, 90.00, 120.00 degrees
Space group P6_3/mmc (No. 194)
Asymmetric unit:
Zr1 0.0000 0.0000 0.0943 (multiplicity 4)
Zr2 0.3333 0.6667 0.1562 (multiplicity 4)
Cr1 0.0000 0.5000 0.0000 (multiplicity 6)
Cr2 0.1656 0.3312 0.7500 (multiplicity 6)
Cr3 0.3333 0.6667 0.6241 (multiplicity 4)

AlSi2O6: computed X-ray diffraction stick pattern (Cu Kα), based on the GGA-PBE geometry in the Materials Project.
Neutral-atom scattering factors, no anomalous dispersion.

Principal peaks in the range 10° ≤ 2θ ≤ 90°, most intense first:
d (Å)	Position (°2θ)	intensity	(hkl)
3.548	25.1	100	1 1 1
3.616	24.6	49	0 2 1
1.954	46.5	20	1 3 2
4.472	19.9	15	1 1 0
4.610	19.3	13	0 2 0
1.922	47.3	11	2 0 2
1.467	63.4	9	2 2 3
1.486	62.5	6	0 4 3
1.275	74.4	5	1 3 4
1.491	62.3	5	3 3 0

Cell lengths 5.113, 9.220, 5.829 Å; angles 90.00, 90.00, 90.00 degrees
Space group C222 (No. 21)
Asymmetric unit:
Al1 0.000 0.000 0.000 (multiplicity 2)
Si1 0.250 0.250 0.664 (multiplicity 4)
O1 0.000 0.286 0.500 (multiplicity 4)
O2 0.190 0.110 0.822 (multiplicity 8)

KLaP4O12: computed X-ray diffraction stick pattern (Cu Kα), based on the GGA-PBE geometry in the Materials Project.
Neutral-atom scattering factors, no anomalous dispersion.

Principal peaks in the range 10° ≤ 2θ ≤ 90°, most intense first:
d (Å)	Position (°2θ)	intensity	(hkl)
5.391	16.4	100	0 2 1
3.468	25.7	82	0 0 4
3.213	27.8	68	2 2 1
4.785	18.5	61	1 1 2
6.942	12.8	60	0 0 2
5.965	14.9	60	1 1 1
3.399	26.2	42	1 3 1
2.689	33.3	34	2 2 3
3.630	24.5	33	0 2 3
2.795	32.0	24	1 3 3

Cell lengths 8.003, 11.701, 13.885 Å; angles 90.00, 90.00, 90.00 degrees
Space group Cmc2_1 (No. 36)
Asymmetric unit:
K1 0.000 0.189 0.000 (multiplicity 4)
La1 0.000 0.387 0.480 (multiplicity 4)
P1 0.182 0.116 0.581 (multiplicity 8)
P2 0.192 0.055 0.789 (multiplicity 8)
O1 0.000 0.056 0.563 (multiplicity 4)
O2 0.000 0.070 0.827 (multiplicity 4)
O3 0.183 0.233 0.536 (multiplicity 8)
O4 0.190 0.137 0.694 (multiplicity 8)
O5 0.192 0.469 0.045 (multiplicity 8)
O6 0.211 0.375 0.363 (multiplicity 8)
O7 0.241 0.064 0.267 (multiplicity 8)